Record 1
# Cs3TlNi3F10
Computed X-ray powder pattern, λ = 1.5418 Å (Cu Kα). Input: DFT lattice parameters and positions (PBE+U).
Lines closer than 0.1° are merged.

Atomic structure:
a b c (Å): 14.5286 6.1587 13.8595
angles (deg): 90.00 90.27 90.00
Space group C2/m (No. 12)
Unique sites:
1 Cs 0.0472 0.0000 0.3600 [4 per cell]
2 Cs 0.0477 0.5000 0.1394 [4 per cell]
3 Cs 0.2445 0.5000 0.3887 [4 per cell]
4 Tl 0.2491 0.0000 0.1109 [4 per cell]
5 Ni 0.0000 0.0000 0.0000 [2 per cell]
6 Ni 0.0000 0.5000 0.5000 [2 per cell]
7 Ni 0.1194 0.0000 0.8471 [4 per cell]
8 Ni 0.1189 0.5000 0.6540 [4 per cell]
9 F 0.0264 0.0000 0.1433 [4 per cell]
10 F 0.0260 0.5000 0.3559 [4 per cell]
11 F 0.0991 0.2850 0.5385 [8 per cell]
12 F 0.1008 0.2158 0.9617 [8 per cell]
13 F 0.1148 0.2512 0.7511 [8 per cell]
14 F 0.2463 0.5000 0.1472 [4 per cell]
15 F 0.2467 0.0000 0.3509 [4 per cell]

Top 6 peaks for 10° ≤ 2θ ≤ 90°, low angle first:
- d 3.465, rel. 27.5
- d 3.337, rel. 100.0
- d 3.079, rel. 35.7
- d 2.349, rel. 16.3
- d 2.302, rel. 29.8
- d 1.823, rel. 16.5

---

Record 2
# Cs3V2O2F7
Computed X-ray powder pattern, λ = 1.5418 Å (Cu Kα). Input: DFT lattice parameters and positions (PBE+U).
Lines closer than 0.1° are merged.

Atomic structure:
a b c (Å): 6.4597 11.1620 15.2424
angles (deg): 90.00 91.00 90.00
Space group C2/c (No. 15)
Unique sites:
1 Cs 0.0000 0.1680 0.2500 [4 per cell]
2 Cs 0.0014 0.1662 0.5671 [8 per cell]
3 V 0.0240 0.4939 0.6504 [8 per cell]
4 O 0.2138 0.4292 0.5966 [8 per cell]
5 F 0.0000 0.3672 0.7500 [4 per cell]
6 F 0.0062 0.3529 0.4045 [8 per cell]
7 F 0.1951 0.4329 0.2478 [8 per cell]
8 F 0.2229 0.4304 0.9033 [8 per cell]

Top 6 peaks for 10° ≤ 2θ ≤ 90°, low angle first:
- d 3.788, rel. 43.3
- d 3.757, rel. 43.4
- d 3.732, rel. 42.3
- d 3.226, rel. 100.0
- d 2.465, rel. 32.6
- d 2.446, rel. 34.1

---

> Which formula does entry 1 have?

Cs3TlNi3F10